Computed powder diffractogram
Compound: Pm2Y6HoSc3
Radiation: Cu Kα X-rays
Structure: a crystal structure in Alexandria, relaxed with PBE

Atomic structure:
```
data_Pm2Y6HoSc3
_space_group_name_H-M_alt 'C 1 2/m 1'
_space_group_IT_number 12
_cell_length_a 6.095
_cell_length_b 10.555
_cell_length_c 11.553
_cell_angle_alpha 90.00
_cell_angle_beta 100.12
_cell_angle_gamma 90.00
loop_
_space_group_symop_operation_xyz
'x,y,z'
'-x,-y,-z'
'-x,y,-z'
'x,-y,z'
'x+1/2,y+1/2,z'
'-x+1/2,-y+1/2,-z'
'-x+1/2,y+1/2,-z'
'x+1/2,-y+1/2,z'
loop_
_atom_site_label
_atom_site_type_symbol
_atom_site_fract_x
_atom_site_fract_y
_atom_site_fract_z
_atom_site_occupancy
Pm1 Pm 0.000 0.167 0.000 1
Y1 Y 0.246 0.500 0.740 1
Y2 Y 0.247 0.166 0.739 1
Ho1 Ho 0.000 0.500 0.000 1
Sc1 Sc 0.000 0.000 0.500 1
Sc2 Sc 0.000 0.334 0.500 1
```

Most intense lines, 10 to 90 degrees two-theta, sorted by position:
(1 3 1), 2θ = 31.17°, I 100; (0 0 4), 2θ = 31.46°, I 32; (2 0 2), 2θ = 36.23°, I 65; (0 6 0), 2θ = 51.98°, I 23; (1 3 5), 2θ = 52.37°, I 21; (4 0 0), 2θ = 61.86°, I 13; (3 3 3), 2θ = 62.03°, I 26; (2 0 6), 2θ = 62.39°, I 14; (2 6 2), 2θ = 65.00°, I 11; (4 6 0), 2θ = 84.97°, I 11